For Rb4VI6, the PBE geometry in Alexandria gives the calculated powder diffractogram in this record (a wavelength of 1.5418 Å).
Intensities are scaled so that the largest is 100.

Principal peaks in the range 5° ≤ 2θ ≤ 70°, in order of rising 2θ:
two_theta  intensity
12.28  35
21.67  28
26.30  100
27.16  20
28.30  54
29.60  34
30.61  37
34.39  28
38.55  16
40.46  18
45.12  24
58.26  21

Cell and atoms:
Cell: 9.9715 9.9715 10.4297 Å, 90.00 90.00 90.00°
Space group P4/mnc (No. 128)
Inequivalent atoms, fractional coordinates:
Rb1 0.1758 0.3242 0.2500 x8
V1 0.0000 0.0000 0.0000 x2
I1 0.0000 0.0000 0.2765 x4
I2 0.0831 0.7167 0.0000 x8

=====

For RbV2I6, the PBE geometry in Alexandria gives the calculated powder diffractogram in this record (a wavelength of 1.5418 Å).
Intensities are scaled so that the largest is 100.

Principal peaks in the range 5° ≤ 2θ ≤ 70°, in order of rising 2θ:
two_theta  intensity
10.73  32
17.64  24
21.56  12
26.63  100
32.71  63
39.13  15
41.07  18
42.76  26
43.61  13
50.85  18
53.24  13
54.82  21

Cell and atoms:
Cell: 7.3250 7.3250 8.2417 Å, 90.00 90.00 120.00°
Space group P-31m (No. 162)
Inequivalent atoms, fractional coordinates:
Rb1 0.0000 0.0000 0.0000 x1
V1 0.3333 0.6667 0.5000 x2
I1 0.0000 0.3735 0.6934 x6

=====

For Rb2VI7, the PBE geometry in Alexandria gives the calculated powder diffractogram in this record (a wavelength of 1.5418 Å).
Intensities are scaled so that the largest is 100.

Principal peaks in the range 5° ≤ 2θ ≤ 70°, in order of rising 2θ:
two_theta  intensity
13.62  36
22.91  17
24.57  100
27.43  78
30.13  23
30.40  38
37.23  14
39.18  22
41.40  50
46.80  16
50.38  21
50.61  18

Cell and atoms:
Cell: 9.1964 9.1964 11.7627 Å, 90.00 90.00 90.00°
Space group I4/mmm (No. 139)
Inequivalent atoms, fractional coordinates:
Rb1 0.0000 0.5000 0.2500 x4
V1 0.0000 0.0000 0.0000 x2
I1 0.0000 0.0000 0.2480 x4
I2 0.0000 0.0000 0.5000 x2
I3 0.2087 0.2087 0.0000 x8

=====

For RbZr4I7, the PBE geometry in Alexandria gives the calculated powder diffractogram in this record (a wavelength of 1.5418 Å).
Intensities are scaled so that the largest is 100.

Principal peaks in the range 5° ≤ 2θ ≤ 70°, in order of rising 2θ:
two_theta  intensity
7.83  49
26.13  27
27.27  51
29.24  47
31.41  27
31.75  100
31.97  18
42.56  17
43.73  31
45.50  27
51.31  13
60.68  18

Cell and atoms:
Cell: 6.1207 5.6300 23.0623 Å, 90.00 101.64 90.00°
Space group P2/c (No. 13)
Inequivalent atoms, fractional coordinates:
Rb1 0.0000 0.2483 0.2500 x2
Zr1 0.3428 0.2511 0.0038 x4
Zr2 0.4071 0.2511 0.5991 x4
I1 0.0938 0.2505 0.8714 x4
I2 0.1532 0.2493 0.4788 x4
I3 0.4250 0.2491 0.1355 x4
I4 0.5000 0.2510 0.7500 x2

=====

For Rb3ZrI7, the PBE geometry in Alexandria gives the calculated powder diffractogram in this record (a wavelength of 1.5418 Å).
Intensities are scaled so that the largest is 100.

Principal peaks in the range 5° ≤ 2θ ≤ 70°, in order of rising 2θ:
two_theta  intensity
11.70  52
14.29  29
19.39  55
21.11  58
23.10  27
24.84  52
28.82  82
29.76  39
30.79  100
31.08  34
32.83  35
35.95  43

Cell and atoms:
Cell: 12.4521 11.5088 9.3432 Å, 90.00 126.15 90.00°
Space group Cm (No. 8)
Inequivalent atoms, fractional coordinates:
Rb1 0.0000 0.0000 0.0000 x2
Rb2 0.0155 0.2752 0.5961 x4
Zr1 0.0615 0.5000 0.1505 x2
I1 0.1273 0.2556 0.2970 x4
I2 0.2085 0.5000 0.0017 x2
I3 0.3469 0.5000 0.5178 x2
I4 0.3672 0.1597 0.8407 x4
I5 0.3781 0.0000 0.2470 x2

=====

For ReI6, the PBE geometry in Alexandria gives the calculated powder diffractogram in this record (a wavelength of 1.5418 Å).
Intensities are scaled so that the largest is 100.

Principal peaks in the range 5° ≤ 2θ ≤ 70°, in order of rising 2θ:
two_theta  intensity
14.66  32
20.60  18
29.02  13
29.43  100
39.03  32
41.90  7
42.20  9
45.00  28
51.69  20
54.44  11
54.70  19
61.06  8

Cell and atoms:
Cell: 6.9785 6.9785 6.1548 Å, 90.00 90.00 120.00°
Space group P-31m (No. 162)
Inequivalent atoms, fractional coordinates:
Re1 0.0000 0.0000 0.0000 x1
I1 0.0000 0.3149 0.2510 x6

=====

For ReTeWI, the PBE geometry in Alexandria gives the calculated powder diffractogram in this record (a wavelength of 1.5418 Å).
Intensities are scaled so that the largest is 100.

Principal peaks in the range 5° ≤ 2θ ≤ 70°, in order of rising 2θ:
two_theta  intensity
9.95  100
25.46  14
29.58  9
32.02  13
34.16  9
34.46  17
39.46  12
40.70  11
41.62  16
42.62  9
42.73  17
44.52  12

Cell and atoms:
Cell: 3.4045 3.7576 9.0028 Å, 80.82 88.56 73.43°
Space group P1 (No. 1)
Inequivalent atoms, fractional coordinates:
Re1 0.0000 0.0000 0.0000 x1
Te1 0.6368 0.6929 0.8104 x1
W1 0.6546 0.5368 0.1386 x1
I1 0.1737 0.3828 0.3912 x1

=====

For ReTeWI, the PBE geometry in Alexandria gives the calculated powder diffractogram in this record (a wavelength of 1.5418 Å).
Intensities are scaled so that the largest is 100.

Principal peaks in the range 5° ≤ 2θ ≤ 70°, in order of rising 2θ:
two_theta  intensity
9.09  100
29.62  31
31.05  11
35.01  61
40.87  62
46.69  9
52.56  25
53.46  8
56.27  10
64.73  10
65.35  6
68.65  14

Cell and atoms:
Cell: 3.4822 3.4822 9.7277 Å, 90.00 90.00 120.00°
Space group P3m1 (No. 156)
Inequivalent atoms, fractional coordinates:
Re1 0.0000 0.0000 0.0000 x1
Te1 0.3333 0.6667 0.7984 x1
W1 0.3333 0.6667 0.1634 x1
I1 0.0000 0.0000 0.3834 x1

=====

For Th3ReI3, the PBE geometry in Alexandria gives the calculated powder diffractogram in this record (a wavelength of 1.5418 Å).
Intensities are scaled so that the largest is 100.

Principal peaks in the range 5° ≤ 2θ ≤ 70°, in order of rising 2θ:
two_theta  intensity
6.96  52
9.22  43
11.32  22
28.11  50
28.30  100
35.33  15
37.49  14
39.73  31
40.88  34
43.23  19
46.51  12
52.36  18

Cell and atoms:
Cell: 9.6032 4.1853 12.7108 Å, 90.00 92.39 90.00°
Space group P2_1/m (No. 11)
Inequivalent atoms, fractional coordinates:
Th1 0.0837 0.2500 0.3919 x2
Th2 0.1212 0.2500 0.8394 x2
Th3 0.3109 0.7500 0.6222 x2
Re1 0.1200 0.2500 0.6232 x2
I1 0.1363 0.2500 0.1154 x2
I2 0.3818 0.7500 0.8781 x2
I3 0.3867 0.7500 0.3678 x2

=====

For ZnRe2I2, the PBE geometry in Alexandria gives the calculated powder diffractogram in this record (a wavelength of 1.5418 Å).
Intensities are scaled so that the largest is 100.

Principal peaks in the range 5° ≤ 2θ ≤ 70°, in order of rising 2θ:
two_theta  intensity
11.58  100
23.28  8
27.61  39
32.49  40
38.52  47
43.31  30
44.98  15
47.11  37
47.61  8
52.13  13
62.91  10
66.30  12

Cell and atoms:
Cell: 4.1786 4.1786 15.2809 Å, 90.00 90.00 90.00°
Space group I4/mmm (No. 139)
Inequivalent atoms, fractional coordinates:
Zn1 0.0000 0.0000 0.0000 x2
Re1 0.0000 0.5000 0.2500 x4
I1 0.0000 0.0000 0.3551 x4

=====

For RhI4, the PBE geometry in Alexandria gives the calculated powder diffractogram in this record (a wavelength of 1.5418 Å).
Intensities are scaled so that the largest is 100.

Principal peaks in the range 5° ≤ 2θ ≤ 70°, in order of rising 2θ:
two_theta  intensity
14.31  30
25.76  35
27.00  45
28.46  100
28.86  37
30.68  35
31.48  69
37.29  62
40.77  27
45.05  38
45.25  31
56.47  26

Cell and atoms:
Cell: 6.2834 7.9557 7.1079 Å, 90.00 100.02 90.00°
Space group P2/c (No. 13)
Inequivalent atoms, fractional coordinates:
Rh1 0.0000 0.1291 0.2500 x2
I1 0.2337 0.1118 0.6050 x4
I2 0.2383 0.3712 0.1315 x4

=====

For ScRhS2I, the PBE geometry in Alexandria gives the calculated powder diffractogram in this record (a wavelength of 1.5418 Å).
Intensities are scaled so that the largest is 100.

Principal peaks in the range 5° ≤ 2θ ≤ 70°, in order of rising 2θ:
two_theta  intensity
15.80  25
24.45  12
26.34  51
30.87  100
31.91  42
37.60  53
41.84  30
50.12  44
54.23  17
56.21  17
63.71  24
64.31  20

Cell and atoms:
Cell: 4.7845 4.7845 5.6094 Å, 90.00 90.00 90.00°
Space group P4/mmm (No. 123)
Inequivalent atoms, fractional coordinates:
Sc1 0.0000 0.0000 0.0000 x1
Rh1 0.0000 0.0000 0.5000 x1
S1 0.0000 0.5000 0.0000 x2
I1 0.5000 0.5000 0.5000 x1